Record 1
This entry pairs a crystal structure of Ba2ZnCo2 with its theoretical powder diffractogram. Radiation: Cu Kα, 1.54184 Å. Structure: a cell relaxed with PBE.
Intensities are scaled so that the largest is 1000.

Main lines, sorted by position (2θ = 15–90°):
d_spacing, I_rel, h k l
2.927, 799, 2 0 1
2.724, 1000, 2 1 1
2.360, 513, 0 0 2
1.808, 183, 4 1 0
1.689, 160, 4 1 1
1.436, 171, 4 1 2

```
data_Ba2ZnCo2
_chemical_formula_sum 'Ba4 Zn2 Co4'
_cell_length_a 7.455
_cell_length_b 7.455
_cell_length_c 4.725
_cell_angle_alpha 90.00
_cell_angle_beta 90.00
_cell_angle_gamma 90.00
_symmetry_space_group_name_H-M 'P 4/m b m'
_symmetry_Int_Tables_number 127
_symmetry_space_group_name_Hall '-P 4 2ab'
loop_
_atom_site_label
_atom_site_type_symbol
_atom_site_fract_x
_atom_site_fract_y
_atom_site_fract_z
Ba1 Ba 0.186 0.314 0.000
Zn1 Zn 0.000 0.000 0.500
Co1 Co 0.104 0.604 0.500
```

***

Record 2
This entry pairs a crystal structure of Sc3Hg3Pt2 with its theoretical powder diffractogram. Radiation: Cu Kα, 1.54184 Å. Structure: a cell relaxed with PBE.
Intensities are scaled so that the largest is 1000.

Main lines, sorted by position (2θ = 15–90°):
d_spacing, I_rel, h k l
3.754, 344, 1 1 0
3.322, 584, 0 0 1
2.488, 612, 1 1 1
2.458, 1000, 2 1 0
2.324, 423, 2 0 1
1.976, 743, 2 1 1

```
data_Sc3Hg3Pt2
_chemical_formula_sum 'Sc3 Hg3 Pt2'
_cell_length_a 7.5084
_cell_length_b 7.5084
_cell_length_c 3.3223
_cell_angle_alpha 90.00
_cell_angle_beta 90.00
_cell_angle_gamma 120.00
_symmetry_space_group_name_H-M 'P -6 2 m'
_symmetry_Int_Tables_number 189
_symmetry_space_group_name_Hall 'P -6 -2'
loop_
_atom_site_label
_atom_site_type_symbol
_atom_site_fract_x
_atom_site_fract_y
_atom_site_fract_z
Sc1 Sc 0.0000 0.5774 0.0000
Hg1 Hg 0.0000 0.2299 0.5000
Pt1 Pt 0.3333 0.6667 0.5000
```

***

Record 3
This entry pairs a crystal structure of MgCr3 with its theoretical powder diffractogram. Radiation: Cu Kα, 1.54184 Å. Structure: a cell relaxed with PBE.
Intensities are scaled so that the largest is 1000.

Main lines, sorted by position (2θ = 15–90°):
d_spacing, I_rel, h k l
5.104, 363, 0 0 1
2.166, 651, 0 1 2
2.096, 1000, 1 1 -1
2.049, 320, 0 2 0
1.465, 180, 1 2 1
1.237, 161, 1 2 -3

```
data_MgCr3
_chemical_formula_sum 'Mg1 Cr3'
_cell_length_a 2.551
_cell_length_b 4.098
_cell_length_c 5.201
_cell_angle_alpha 90.00
_cell_angle_beta 101.04
_cell_angle_gamma 90.00
_symmetry_space_group_name_H-M 'P 1 2/m 1'
_symmetry_Int_Tables_number 10
loop_
_symmetry_equiv_pos_as_xyz
'x,y,z'
'-x,-y,-z'
'-x,y,-z'
'x,-y,z'
loop_
_atom_site_label
_atom_site_type_symbol
_atom_site_fract_x
_atom_site_fract_y
_atom_site_fract_z
Mg1 Mg 0.000 0.000 0.000
Cr1 Cr 0.237 0.500 0.707
Cr2 Cr 0.500 0.000 0.500
```

***

Record 4
This entry pairs a crystal structure of Rb3UCl8 with its theoretical powder diffractogram. Radiation: Cu Kα, 1.54184 Å. Structure: a cell relaxed with PBE.
Intensities are scaled so that the largest is 1000.

Main lines, sorted by position (2θ = 15–90°):
d_spacing, I_rel, h k l
4.553, 260, 0 0 2
3.929, 1000, 2 0 1
3.147, 402, 2 0 2
2.514, 485, 2 2 0
2.490, 384, 2 0 3
2.201, 309, 2 2 2

```
data_Rb3UCl8
_chemical_formula_sum 'Rb6 U2 Cl16'
_cell_length_a 10.0571
_cell_length_b 10.0571
_cell_length_c 9.1052
_cell_angle_alpha 90.00
_cell_angle_beta 90.00
_cell_angle_gamma 120.00
_symmetry_space_group_name_H-M 'P 63 m c'
_symmetry_Int_Tables_number 186
_symmetry_space_group_name_Hall 'P 6c -2c'
loop_
_atom_site_label
_atom_site_type_symbol
_atom_site_fract_x
_atom_site_fract_y
_atom_site_fract_z
Rb1 Rb 0.1526 0.3053 0.0000
U1 U 0.3333 0.6667 0.4272
Cl1 Cl 0.0000 0.0000 0.2603
Cl2 Cl 0.0498 0.5249 0.3393
Cl3 Cl 0.2169 0.4337 0.6043
Cl4 Cl 0.3333 0.6667 0.1141
```

***

Record 5
This entry pairs a crystal structure of TbTm5Th4 with its theoretical powder diffractogram. Radiation: Cu Kα, 1.54184 Å. Structure: a cell relaxed with PBE.
Intensities are scaled so that the largest is 1000.

Main lines, sorted by position (2θ = 15–90°):
d_spacing, I_rel, h k l
2.961, 253, 0 3 0
2.885, 283, 0 2 -3
2.832, 1000, -1 1 2
2.654, 245, 0 2 3
2.442, 379, 1 2 -1
1.864, 156, -1 4 2

```
data_TbTm5Th4
_chemical_formula_sum 'Tb1 Tm5 Th4'
_cell_length_a 3.449
_cell_length_b 9.079
_cell_length_c 10.622
_cell_angle_alpha 94.79
_cell_angle_beta 90.04
_cell_angle_gamma 100.87
_symmetry_space_group_name_H-M 'P -1'
_symmetry_Int_Tables_number 2
loop_
_symmetry_equiv_pos_as_xyz
'x,y,z'
'-x,-y,-z'
loop_
_atom_site_label
_atom_site_type_symbol
_atom_site_fract_x
_atom_site_fract_y
_atom_site_fract_z
Tb1 Tb 0.000 0.000 0.000
Tm1 Tm 0.000 0.000 0.500
Tm2 Tm 0.312 0.623 0.408
Tm3 Tm 0.349 0.701 0.756
Th1 Th 0.184 0.366 0.915
Th2 Th 0.461 0.922 0.248
```

***

Record 6
This entry pairs a crystal structure of Rb2N2F5 with its theoretical powder diffractogram. Radiation: Cu Kα, 1.54184 Å. Structure: a cell relaxed with PBE.
Intensities are scaled so that the largest is 1000.

Main lines, sorted by position (2θ = 15–90°):
d_spacing, I_rel, h k l
4.860, 1000, 0 1 1
3.247, 910, 1 0 2
2.970, 809, 2 1 1
2.598, 412, 2 0 2
2.475, 901, 2 2 0
2.312, 631, 1 2 2

```
data_Rb2N2F5
_chemical_formula_sum 'Rb4 N4 F10'
_cell_length_a 7.506
_cell_length_b 6.585
_cell_length_c 7.202
_cell_angle_alpha 90.00
_cell_angle_beta 90.00
_cell_angle_gamma 90.00
_symmetry_space_group_name_H-M 'A m m 2'
_symmetry_Int_Tables_number 38
loop_
_symmetry_equiv_pos_as_xyz
'x,y,z'
'-x,-y,z'
'-x,y,z'
'x,-y,z'
'x,y+1/2,z+1/2'
'-x,-y+1/2,z+1/2'
'-x,y+1/2,z+1/2'
'x,-y+1/2,z+1/2'
loop_
_atom_site_label
_atom_site_type_symbol
_atom_site_fract_x
_atom_site_fract_y
_atom_site_fract_z
Rb1 Rb 0.000 0.000 0.000
Rb2 Rb 0.500 0.000 0.149
N1 N 0.074 0.000 0.470
F1 F 0.263 0.195 0.793
F2 F 0.500 0.000 0.754
```

***

Record 7
This entry pairs a crystal structure of Ho11Cd9Ni4 with its theoretical powder diffractogram. Radiation: Cu Kα, 1.54184 Å. Structure: a cell relaxed with PBE.
Intensities are scaled so that the largest is 1000.

Main lines, sorted by position (2θ = 15–90°):
d_spacing, I_rel, h k l
2.833, 116, 3 1 1
2.561, 425, 4 6 0
2.534, 1000, 0 6 1
2.390, 148, 3 5 1
1.773, 142, 0 0 2
1.458, 144, 4 6 2

```
data_Ho11Cd9Ni4
_chemical_formula_sum 'Ho22 Cd18 Ni8'
_cell_length_a 14.471
_cell_length_b 21.752
_cell_length_c 3.546
_cell_angle_alpha 90.00
_cell_angle_beta 90.00
_cell_angle_gamma 90.00
_symmetry_space_group_name_H-M 'C m m m'
_symmetry_Int_Tables_number 65
_symmetry_space_group_name_Hall '-C 2 2'
loop_
_atom_site_label
_atom_site_type_symbol
_atom_site_fract_x
_atom_site_fract_y
_atom_site_fract_z
Ho1 Ho 0.000 0.000 0.000
Ho2 Ho 0.000 0.160 0.000
Ho3 Ho 0.000 0.373 0.000
Ho4 Ho 0.189 0.500 0.000
Ho5 Ho 0.250 0.167 0.000
Cd1 Cd 0.000 0.500 0.500
Cd2 Cd 0.104 0.262 0.500
Cd3 Cd 0.147 0.071 0.500
Ni1 Ni 0.149 0.401 0.500
```

***

Record 8
This entry pairs a crystal structure of Ti2Ni3Pt2 with its theoretical powder diffractogram. Radiation: Cu Kα, 1.54184 Å. Structure: a cell relaxed with PBE.
Intensities are scaled so that the largest is 1000.

Main lines, sorted by position (2θ = 15–90°):
d_spacing, I_rel, h k l
3.714, 458, 2 0 0
3.032, 351, 2 1 1
2.626, 316, 2 2 0
2.349, 723, 3 1 0
1.985, 1000, 3 1 2
1.457, 315, 4 1 3

```
data_Ti2Ni3Pt2
_chemical_formula_sum 'Ti8 Ni12 Pt8'
_cell_length_a 7.428
_cell_length_b 7.428
_cell_length_c 7.428
_cell_angle_alpha 90.00
_cell_angle_beta 90.00
_cell_angle_gamma 90.00
_symmetry_space_group_name_H-M 'I 21 3'
_symmetry_Int_Tables_number 199
_symmetry_space_group_name_Hall 'I 2b 2c 3'
loop_
_atom_site_label
_atom_site_type_symbol
_atom_site_fract_x
_atom_site_fract_y
_atom_site_fract_z
Ti1 Ti 0.249 0.249 0.249
Ni1 Ni 0.000 0.250 0.024
Pt1 Pt 0.065 0.435 0.565
```